# 1
Simulated powder diffraction line list of PdS5Cl for Cu Kα X-rays, from a structure optimized by DFT (PBE).
Kinematic intensities with the Lorentz-polarization factor, no thermal factor.

Structure:
Cell lengths 5.6635, 5.9843, 6.8235 Å; angles 68.10, 76.42, 70.80 degrees
Space group P1 (No. 1)
Symmetry-distinct sites (fractional):
Pd1 0.0000 0.0000 0.0000 x1
S1 0.2656 0.0121 0.6873 x1
S2 0.4371 0.8295 0.9443 x1
S3 0.5129 0.4069 0.6455 x1
S4 0.5857 0.1963 0.9526 x1
S5 0.8079 0.3794 0.4327 x1
Cl1 0.8762 0.8920 0.3716 x1

Top 12 peaks for 10 to 90 degrees two-theta, sorted by position:
2theta  I_rel
14.10  50
16.57  94
17.99  100
19.88  37
20.18  64
20.49  58
25.11  22
28.43  28
30.56  88
35.01  39
43.21  26
45.65  21

=====

# 2
Simulated powder diffraction line list of CeSc2CrN4 for Cu Kα X-rays, from a structure optimized by DFT (PBE).
Kinematic intensities with the Lorentz-polarization factor, no thermal factor.

Structure:
Cell lengths 3.2511, 11.1031, 10.9764 Å; angles 90.00, 90.00, 90.00 degrees
Space group Cmcm (No. 63)
Symmetry-distinct sites (fractional):
Ce1 0.0000 0.0977 0.2500 x4
Sc1 0.0000 0.3704 0.0419 x8
Cr1 0.0000 0.1630 0.7500 x4
N1 0.0000 0.0000 0.0000 x4
N2 0.0000 0.2642 0.6206 x8
N3 0.0000 0.4299 0.2500 x4

Top 12 peaks for 10 to 90 degrees two-theta, sorted by position:
2theta  I_rel
16.15  63
29.23  42
32.25  34
32.63  51
33.02  100
33.29  23
37.73  75
40.42  55
43.94  21
46.54  25
52.63  26
56.35  25